(1)
Structure and calculated powder diffractogram of Ca4Bi8Pt3 (a structure optimized by DFT (PBE); Cu Kα X-rays).
Lines closer than 0.1° are merged.

```
Ca4Bi8Pt3
1.0
4.712 0.000 0.000
0.000 4.712 0.000
0.000 0.000 18.967
Ca Bi Pt
4 8 3
Cartesian
0.000 2.356 2.059 Ca
0.000 2.356 11.618 Ca
2.356 0.000 7.349 Ca
2.356 0.000 16.908 Ca
0.000 0.000 4.762 Bi
0.000 0.000 14.205 Bi
0.000 2.356 7.896 Bi
0.000 2.356 17.499 Bi
2.356 0.000 1.468 Bi
2.356 0.000 11.071 Bi
2.356 2.356 4.619 Bi
2.356 2.356 14.348 Bi
0.000 0.000 0.000 Pt
0.000 0.000 9.483 Pt
2.356 2.356 9.483 Pt
```

Principal peaks in the range 2θ from 5° to 70°, sorted by position:
2theta, intensity
21.05, 251
26.68, 267
32.85, 1000
38.20, 524
47.04, 318
65.69, 278

(2)
Structure and calculated powder diffractogram of Ca4Bi5Pt2 (a structure optimized by DFT (PBE); Cu Kα X-rays).
Lines closer than 0.1° are merged.

```
Ca4Bi5Pt2
1.0
7.941 0.000 0.000
0.000 3.912 0.000
-0.843 0.000 10.066
Ca Bi Pt
4 5 2
Cartesian
1.350 0.000 3.446 Ca
0.883 0.000 9.382 Ca
6.215 0.000 0.684 Ca
5.748 0.000 6.621 Ca
0.539 1.956 6.478 Bi
3.473 1.956 1.623 Bi
3.549 1.956 5.033 Bi
3.625 1.956 8.444 Bi
6.559 1.956 3.588 Bi
0.528 1.956 1.310 Pt
6.570 1.956 8.757 Pt
```

Principal peaks in the range 2θ from 5° to 70°, sorted by position:
2theta, intensity
22.73, 1000
31.63, 420
32.18, 398
33.97, 314
36.54, 275
46.42, 381

(3)
Structure and calculated powder diffractogram of Ca4BiPt2 (a structure optimized by DFT (PBE); Cu Kα X-rays).
Lines closer than 0.1° are merged.

```
Ca4BiPt2
1.0
2.591 -4.490 0.000
2.591 4.490 0.000
0.000 0.000 15.875
Ca Bi Pt
8 2 4
Cartesian
0.000 0.000 0.000 Ca
0.000 0.000 7.937 Ca
2.591 1.500 9.823 Ca
2.591 1.500 13.989 Ca
2.591 1.492 3.969 Ca
2.591 -1.492 11.906 Ca
2.591 -1.500 1.886 Ca
2.591 -1.500 6.052 Ca
2.591 4.484 3.969 Bi
2.591 -4.484 11.906 Bi
2.591 1.493 0.966 Pt
2.591 1.493 6.971 Pt
2.591 -1.493 8.904 Pt
2.591 -1.493 14.909 Pt
```

Principal peaks in the range 2θ from 5° to 70°, sorted by position:
2theta, intensity
22.76, 514
26.03, 198
30.05, 227
34.61, 1000
49.21, 197
62.02, 246